The following is a theoretical powder diffractogram of LuGaPt. It was derived from DFT lattice parameters and positions (GGA-PBE), using Cu Ka.

Structure:
```
data_LuGaPt
_chemical_formula_sum 'Lu4 Ga4 Pt4'
_cell_length_a 6.7496
_cell_length_b 4.3548
_cell_length_c 7.7744
_cell_angle_alpha 90.00
_cell_angle_beta 90.00
_cell_angle_gamma 90.00
_space_group_name_H-M_alt 'P n m a'
_space_group_IT_number 62
loop_
_space_group_symop_operation_xyz
'x,y,z'
'-x,-y,-z'
'-x+1/2,-y,z+1/2'
'x+1/2,y,-z+1/2'
'x+1/2,-y+1/2,-z+1/2'
'-x+1/2,y+1/2,z+1/2'
'-x,y+1/2,-z'
'x,-y+1/2,z'
loop_
_atom_site_label
_atom_site_fract_x
_atom_site_fract_y
_atom_site_fract_z
Lu1 0.0330 0.2500 0.1806
Ga1 0.1475 0.2500 0.5584
Pt1 0.2365 0.7500 0.3758
```

The 10 most intense peaks (2θ from 10° to 90°), by angle:
d [Å]  Rel. int.  hkl
3.369  22.1  1 0 2
3.311  23.2  1 1 1
2.665  53.0  1 1 2
2.523  100.0  2 1 1
2.419  16.4  1 0 3
2.227  26.8  0 1 3
2.177  39.2  0 2 0
2.115  28.2  1 1 3
1.946  29.6  3 0 2
1.451  23.1  3 2 2

---

The following is a theoretical powder diffractogram of Te6MoW3Se2. It was derived from DFT lattice parameters and positions (GGA-PBE), using Cu Ka.

Structure:
```
data_Te6MoW3Se2
_chemical_formula_sum 'Te6 Mo1 W3 Se2'
_cell_length_a 3.4977
_cell_length_b 3.4977
_cell_length_c 39.6527
_cell_angle_alpha 90.00
_cell_angle_beta 90.00
_cell_angle_gamma 120.00
_space_group_name_H-M_alt 'P 3 m 1'
_space_group_IT_number 156
loop_
_space_group_symop_operation_xyz
'x,y,z'
'-y,x-y,z'
'-x+y,-x,z'
'-y,-x,z'
'-x+y,y,z'
'x,x-y,z'
loop_
_atom_site_label
_atom_site_fract_x
_atom_site_fract_y
_atom_site_fract_z
Te1 0.0000 0.0000 0.0000
Te2 0.0000 0.0000 0.0924
Te3 0.0000 0.0000 0.3755
Te4 0.0000 0.0000 0.4684
Te5 0.6667 0.3333 0.5633
Te6 0.6667 0.3333 0.6563
Mo1 0.6667 0.3333 0.0462
W1 0.0000 0.0000 0.2341
W2 0.0000 0.0000 0.6098
W3 0.6667 0.3333 0.4219
Se1 0.6667 0.3333 0.1931
Se2 0.6667 0.3333 0.2750
```

The 10 most intense peaks (2θ from 10° to 90°), by angle:
d [Å]  Rel. int.  hkl
7.931  100.0  0 0 5
6.609  18.0  0 0 6
3.027  49.4  1 0 0
2.830  13.8  1 0 5
2.585  92.6  0 1 8
2.149  59.2  1 0 13
2.069  20.2  0 1 14
1.749  36.2  1 1 0
1.448  15.4  2 0 8
1.283  17.1  1 1 21

---

The following is a theoretical powder diffractogram of CuP2H2O6. It was derived from DFT lattice parameters and positions (GGA-PBE), using Cu Ka.

Structure:
```
data_CuP2H2O6
_chemical_formula_sum 'Cu4 P8 H8 O24'
_cell_length_a 7.4421
_cell_length_b 9.9257
_cell_length_c 7.6328
_cell_angle_alpha 90.00
_cell_angle_beta 100.63
_cell_angle_gamma 90.00
_space_group_name_H-M_alt 'P 1 21/c 1'
_space_group_IT_number 14
loop_
_space_group_symop_operation_xyz
'x,y,z'
'-x,-y,-z'
'-x,y+1/2,-z+1/2'
'x,-y+1/2,z+1/2'
loop_
_atom_site_label
_atom_site_fract_x
_atom_site_fract_y
_atom_site_fract_z
Cu1 0.2037 0.0907 0.0625
P1 0.0435 0.7055 0.7862
P2 0.4577 0.0798 0.7798
H1 0.0129 0.6163 0.9218
H2 0.4620 0.6932 0.6260
O1 0.0101 0.6259 0.6030
O2 0.1046 0.1811 0.2386
O3 0.2405 0.7505 0.3166
O4 0.3112 0.0187 0.8836
O5 0.3505 0.1169 0.5961
O6 0.4007 0.0320 0.2378
```

The 10 most intense peaks (2θ from 10° to 90°), by angle:
d [Å]  Rel. int.  hkl
5.985  100.0  0 1 1
5.888  24.4  1 1 0
5.007  13.5  1 1 -1
4.107  35.6  1 2 0
3.455  24.0  1 2 1
3.015  50.4  1 3 0
2.934  20.0  2 1 1
2.924  24.8  1 2 -2
2.892  40.0  2 2 -1
2.181  12.5  2 3 -2

---

The following is a theoretical powder diffractogram of RbF3. It was derived from DFT lattice parameters and positions (GGA-PBE), using Cu Ka.

Structure:
```
data_RbF3
_chemical_formula_sum 'Rb4 F12'
_cell_length_a 4.6428
_cell_length_b 6.8878
_cell_length_c 9.6634
_cell_angle_alpha 90.00
_cell_angle_beta 91.09
_cell_angle_gamma 90.00
_space_group_name_H-M_alt 'P 1 21 1'
_space_group_IT_number 4
loop_
_space_group_symop_operation_xyz
'x,y,z'
'-x,y+1/2,-z'
loop_
_atom_site_label
_atom_site_fract_x
_atom_site_fract_y
_atom_site_fract_z
Rb1 0.0713 0.0000 0.1293
Rb2 0.3967 0.0308 0.6239
F1 0.0176 0.9010 0.8319
F2 0.0360 0.8107 0.4280
F3 0.2379 0.4698 0.6194
F4 0.2497 0.5673 0.1292
F5 0.4798 0.2304 0.9097
F6 0.4911 0.1308 0.3300
```

The 10 most intense peaks (2θ from 10° to 90°), by angle:
d [Å]  Rel. int.  hkl
4.154  43.1  1 0 1
3.955  79.9  0 1 2
3.595  60.0  1 1 -1
3.444  89.5  0 2 0
3.379  41.9  1 0 -2
2.668  84.8  1 0 -3
2.651  59.7  1 2 1
2.414  100.0  0 0 4
2.074  47.5  0 3 2
1.978  42.9  0 2 4

---

The following is a theoretical powder diffractogram of Cu3Pt. It was derived from DFT lattice parameters and positions (GGA-PBE), using Cu Ka.

Structure:
```
data_Cu3Pt
_chemical_formula_sum 'Cu3 Pt1'
_cell_length_a 3.7229
_cell_length_b 3.7229
_cell_length_c 3.7229
_cell_angle_alpha 90.00
_cell_angle_beta 90.00
_cell_angle_gamma 90.00
_space_group_name_H-M_alt 'P m -3 m'
_space_group_IT_number 221
_space_group_name_Hall '-P 4 2 3'
loop_
_atom_site_label
_atom_site_fract_x
_atom_site_fract_y
_atom_site_fract_z
Cu1 0.0000 0.0000 0.5000
Pt1 0.5000 0.5000 0.5000
```

The 10 most intense peaks (2θ from 10° to 90°), by angle:
d [Å]  Rel. int.  hkl
3.723  30.2  1 0 0
2.632  24.9  1 1 0
2.149  100.0  1 1 1
1.861  47.8  2 0 0
1.665  13.6  2 1 0
1.520  10.3  2 1 1
1.316  29.2  2 2 0
1.241  6.9  3 0 0
1.177  4.8  3 1 0
1.122  35.4  3 1 1

---

The following is a theoretical powder diffractogram of Li3BiO4. It was derived from DFT lattice parameters and positions (GGA-PBE), using Cu Ka.

Structure:
```
data_Li3BiO4
_chemical_formula_sum 'Li24 Bi8 O32'
_cell_length_a 8.8354
_cell_length_b 8.8354
_cell_length_c 8.8354
_cell_angle_alpha 90.00
_cell_angle_beta 90.00
_cell_angle_gamma 90.00
_space_group_name_H-M_alt 'I -4 3 m'
_space_group_IT_number 217
_space_group_name_Hall 'I -4 2 3'
loop_
_atom_site_label
_atom_site_fract_x
_atom_site_fract_y
_atom_site_fract_z
Li1 0.0991 0.3813 0.3813
Bi1 0.1404 0.1404 0.1404
O1 0.1150 0.1150 0.8850
O2 0.1224 0.1224 0.3716
```

The 10 most intense peaks (2θ from 10° to 90°), by angle:
d [Å]  Rel. int.  hkl
6.248  78.4  1 1 0
3.607  100.0  2 1 1
2.794  44.9  3 1 0
2.551  19.1  2 2 2
2.361  24.4  3 2 1
2.209  33.4  4 0 0
2.083  31.2  3 3 0
1.733  22.0  4 3 1
1.613  33.6  5 2 1
1.562  18.7  4 4 0

---

The following is a theoretical powder diffractogram of MgP3NO9. It was derived from DFT lattice parameters and positions (GGA-PBE), using Cu Ka.

Structure:
```
data_MgP3NO9
_chemical_formula_sum 'Mg3 P9 N3 O27'
_cell_length_a 10.4049
_cell_length_b 10.4049
_cell_length_c 7.3868
_cell_angle_alpha 90.00
_cell_angle_beta 90.00
_cell_angle_gamma 120.00
_space_group_name_H-M_alt 'R 3 2'
_space_group_IT_number 155
_space_group_name_Hall 'R 3 2"'
loop_
_atom_site_label
_atom_site_fract_x
_atom_site_fract_y
_atom_site_fract_z
Mg1 0.0000 0.0000 0.0000
P1 0.0000 0.5731 0.5000
N1 0.0000 0.0000 0.5000
O1 0.0000 0.6539 0.0000
O2 0.0949 0.1905 0.8401
```

The 10 most intense peaks (2θ from 10° to 90°), by angle:
d [Å]  Rel. int.  hkl
5.713  76.2  1 0 1
5.202  100.0  1 1 0
3.846  37.6  0 2 1
3.093  15.9  2 1 1
3.004  9.6  3 0 0
2.856  46.6  2 0 2
2.367  12.0  1 3 1
2.070  15.8  3 1 2
1.904  8.0  3 0 3
1.709  7.6  0 2 4

---

The following is a theoretical powder diffractogram of Ti5CuSb2. It was derived from DFT lattice parameters and positions (GGA-PBE), using Cu Ka.

Structure:
```
data_Ti5CuSb2
_chemical_formula_sum 'Ti20 Cu4 Sb8'
_cell_length_a 10.4543
_cell_length_b 10.4543
_cell_length_c 5.1326
_cell_angle_alpha 90.00
_cell_angle_beta 90.00
_cell_angle_gamma 90.00
_space_group_name_H-M_alt 'I 4/m c m'
_space_group_IT_number 140
_space_group_name_Hall '-I 4 2c'
loop_
_atom_site_label
_atom_site_fract_x
_atom_site_fract_y
_atom_site_fract_z
Ti1 0.0000 0.5000 0.2500
Ti2 0.0741 0.2147 0.0000
Cu1 0.0000 0.0000 0.2500
Sb1 0.1640 0.3360 0.5000
```

The 10 most intense peaks (2θ from 10° to 90°), by angle:
d [Å]  Rel. int.  hkl
3.456  58.2  2 1 1
2.566  20.5  0 0 2
2.525  19.3  3 2 1
2.464  21.1  3 3 0
2.338  36.4  4 2 0
2.304  40.7  2 0 2
2.273  100.0  4 1 1
1.816  22.6  5 2 1
1.777  21.8  3 3 2
1.418  20.7  4 1 3

---

The following is a theoretical powder diffractogram of Sc4Ge6Rh7. It was derived from DFT lattice parameters and positions (GGA-PBE), using Cu Ka.

Structure:
```
data_Sc4Ge6Rh7
_chemical_formula_sum 'Sc8 Ge12 Rh14'
_cell_length_a 8.1956
_cell_length_b 8.1956
_cell_length_c 8.1956
_cell_angle_alpha 90.00
_cell_angle_beta 90.00
_cell_angle_gamma 90.00
_space_group_name_H-M_alt 'I m -3 m'
_space_group_IT_number 229
_space_group_name_Hall '-I 4 2 3'
loop_
_atom_site_label
_atom_site_fract_x
_atom_site_fract_y
_atom_site_fract_z
Sc1 0.2500 0.2500 0.2500
Ge1 0.0000 0.0000 0.3141
Rh1 0.0000 0.0000 0.0000
Rh2 0.0000 0.2500 0.5000
```

The 10 most intense peaks (2θ from 10° to 90°), by angle:
d [Å]  Rel. int.  hkl
4.098  34.1  2 0 0
2.366  100.0  2 2 2
2.190  39.8  3 2 1
2.049  68.6  4 0 0
1.932  16.6  3 3 0
1.747  27.6  3 3 2
1.449  32.7  4 4 0
1.236  21.7  6 2 2
1.208  17.0  6 3 1
1.115  15.3  6 3 3